La2SnSe5: theoretical XRD peak list (λ = 1.5418 Å (Cu Kα)), based on DFT lattice parameters and positions (GGA-PBE).

Top 10 peaks for 10 to 90 degrees two-theta, most intense first:
| 2θ/deg | I_rel |
| --- | --- |
| 31.16 | 100 |
| 33.85 | 85 |
| 32.77 | 47 |
| 42.60 | 44 |
| 32.01 | 44 |
| 36.92 | 36 |
| 24.93 | 30 |
| 35.98 | 24 |
| 45.07 | 22 |
| 24.75 | 22 |

Cell and atoms:
```
data_La2SnSe5
_chemical_formula_sum 'La4 Sn2 Se10'
_cell_length_a 8.2504
_cell_length_b 11.8869
_cell_length_c 4.2447
_cell_angle_alpha 90.00
_cell_angle_beta 90.00
_cell_angle_gamma 90.00
_symmetry_space_group_name_H-M 'P 1'
_symmetry_Int_Tables_number 1
loop_
_symmetry_equiv_pos_as_xyz
'x,y,z'
loop_
_atom_site_label
_atom_site_type_symbol
_atom_site_fract_x
_atom_site_fract_y
_atom_site_fract_z
_atom_site_occupancy
La1 La 0.0777 0.1696 0.0000 1
La2 La 0.4223 0.6696 0.0000 1
La3 La 0.5777 0.3304 0.0000 1
La4 La 0.9223 0.8304 0.0000 1
Sn1 Sn 0.0000 0.5000 0.5000 1
Sn2 Sn 0.5000 0.0000 0.5000 1
Se1 Se 0.0000 0.0000 0.5000 1
Se2 Se 0.1441 0.7076 0.5000 1
Se3 Se 0.1974 0.4330 0.0000 1
Se4 Se 0.3026 0.9330 0.0000 1
Se5 Se 0.3559 0.2076 0.5000 1
Se6 Se 0.5000 0.5000 0.5000 1
Se7 Se 0.6441 0.7924 0.5000 1
Se8 Se 0.6974 0.0670 0.0000 1
Se9 Se 0.8026 0.5670 0.0000 1
Se10 Se 0.8559 0.2924 0.5000 1
```